Starting from the PBE geometry in Alexandria, the XRD peak list of Sr4DyS5 was calculated for Cu Kα (λ = 1.5418 Å).
Lines closer than 0.1° are merged.

Principal peaks in the range 10° ≤ 2θ ≤ 80°, sorted by position:
two_theta, I_rel
26.03, 51
30.15, 100
43.16, 72
51.09, 26
53.54, 25
62.68, 12
71.11, 32
79.14, 24

```
Sr4DyS5
1.0
-4.6868 4.6868 2.9651
4.6868 -4.6868 2.9651
4.6868 4.6868 -2.9651
Sr Dy S
4 1 5
Cartesian
6.5623 0.9084 0.0000 Sr
0.9084 2.8113 0.0000 Sr
3.7784 1.8755 2.9651 Sr
-1.8755 3.7784 2.9651 Sr
0.0000 0.0000 2.9651 Dy
0.0000 0.0000 0.0000 S
3.7993 2.0190 0.0000 S
2.6678 -0.8875 2.9651 S
2.0190 5.5743 0.0000 S
0.8875 2.6678 2.9651 S
```